This entry pairs a crystal structure of Li3Fe2P2C2O14 with its computed powder X-ray diffraction pattern. Radiation: Cu Kα (λ = 1.5418 Å). Structure: DFT lattice parameters and positions (PBE+U).
Neutral-atom scattering factors, no anomalous dispersion.

Structure:
Cell lengths 5.1229, 6.4825, 8.3745 Å; angles 90.61, 94.71, 90.05 degrees
Space group P1 (No. 1)
One atom of each set of equivalent atoms:
Li: 0.0000 0.0000 0.0000
Li: 0.0191 0.7048 0.6097
Li: 0.4881 0.2210 0.8147
Fe: 0.0494 0.2114 0.3886
Fe: 0.4453 0.7017 0.0516
P: 0.5193 0.2070 0.1386
P: 0.9683 0.7152 0.2959
C: 0.5434 0.7185 0.7619
C: 0.9553 0.2032 0.6802
O: 0.0399 0.5233 0.3981
O: 0.0402 0.8984 0.4116
O: 0.1086 0.7298 0.1387
O: 0.1996 0.2105 0.6460
O: 0.2984 0.7086 0.7937
O: 0.3793 0.2148 0.2929
O: 0.4177 0.0260 0.0239
O: 0.4611 0.3970 0.0289
O: 0.6263 0.7149 0.6247
O: 0.6710 0.7166 0.2431
O: 0.7129 0.7291 0.8890
O: 0.7838 0.2188 0.5577
O: 0.8204 0.1824 0.1806
O: 0.8801 0.1813 0.8203

Peak list (10 most intense, 10° ≤ 2θ ≤ 90°, in order of rising 2θ)
- 2θ 10.6, I 82, (0 0 1)
- 2θ 17.2, I 19, (0 1 -1)
- 2θ 17.4, I 19, (0 1 1)
- 2θ 19.6, I 54, (1 0 -1)
- 2θ 21.1, I 71, (1 0 1)
- 2θ 22.2, I 16, (1 -1 0)
- 2θ 26.5, I 34, (1 0 -2)
- 2θ 27.5, I 100, (0 2 0)
- 2θ 35.1, I 17, (2 0 0)
- 2θ 35.9, I 19, (2 0 -1)